1.
Starting from a crystal structure in OQMD, relaxed with GGA-PBE, the powder X-ray diffraction pattern of AlTcSnH6 was simulated for CuKα.
Lines closer than 0.1° are merged.

Principal peaks in the range 5° ≤ 2θ ≤ 70°, low angle first:
- 2θ 23.6, intensity 74
- 2θ 39.0, intensity 100
- 2θ 46.0, intensity 41
- 2θ 56.3, intensity 17
- 2θ 61.9, intensity 18

Structure:
```
AlTcSnH6
1.0
0.0000 3.2685 3.2685
3.2685 0.0000 3.2685
3.2685 3.2685 0.0000
Al Tc Sn H
1 1 1 6
direct
0.0000 0.0000 0.0000 Al
0.5000 0.5000 0.5000 Tc
0.7500 0.7500 0.7500 Sn
0.0898 0.0898 0.4102 H
0.0898 0.4102 0.0898 H
0.0898 0.4102 0.4102 H
0.4102 0.0898 0.0898 H
0.4102 0.0898 0.4102 H
0.4102 0.4102 0.0898 H
```

=====

2.
Starting from a crystal structure in OQMD, relaxed with GGA-PBE, the powder X-ray diffraction pattern of AlTlZnH6 was simulated for CuKα.
Lines closer than 0.1° are merged.

Principal peaks in the range 5° ≤ 2θ ≤ 70°, low angle first:
- 2θ 20.8, intensity 100
- 2θ 24.1, intensity 11
- 2θ 34.3, intensity 91
- 2θ 40.5, intensity 56
- 2θ 42.4, intensity 5
- 2θ 49.3, intensity 17
- 2θ 54.1, intensity 24
- 2θ 55.6, intensity 6
- 2θ 61.5, intensity 34
- 2θ 65.7, intensity 18

Structure:
```
AlTlZnH6
1.0
0.0000 3.6942 3.6942
3.6942 0.0000 3.6942
3.6942 3.6942 0.0000
Al Tl Zn H
1 1 1 6
direct
0.0000 0.0000 0.0000 Al
0.7500 0.7500 0.7500 Tl
0.5000 0.5000 0.5000 Zn
0.2434 0.2434 0.7566 H
0.2434 0.7566 0.2434 H
0.2434 0.7566 0.7566 H
0.7566 0.2434 0.2434 H
0.7566 0.2434 0.7566 H
0.7566 0.7566 0.2434 H
```

=====

3.
Starting from a crystal structure in OQMD, relaxed with GGA-PBE, the powder X-ray diffraction pattern of HfAlI7 was simulated for CuKα.
Lines closer than 0.1° are merged.

Principal peaks in the range 5° ≤ 2θ ≤ 70°, low angle first:
- 2θ 10.2, intensity 98
- 2θ 10.9, intensity 72
- 2θ 13.8, intensity 86
- 2θ 16.4, intensity 45
- 2θ 24.1, intensity 67
- 2θ 25.3, intensity 100
- 2θ 26.3, intensity 44
- 2θ 28.1, intensity 50
- 2θ 29.4, intensity 60
- 2θ 34.0, intensity 45

Structure:
```
HfAlI7
1.0
8.2058 0.0000 0.0000
0.0000 6.9078 0.0000
-2.7831 0.0000 17.2683
Hf Al I
2 2 14
direct
0.0000 0.0795 0.0000 Hf
0.0000 0.9205 0.5000 Hf
0.7463 0.4838 0.8622 Al
0.7463 0.5162 0.3622 Al
0.0358 0.3299 0.8599 I
0.0358 0.6701 0.3599 I
0.1752 0.3303 0.0992 I
0.1752 0.6697 0.5992 I
0.2526 0.1363 0.4646 I
0.2526 0.8637 0.9646 I
0.5374 0.3795 0.7498 I
0.5374 0.6205 0.2498 I
0.6898 0.3281 0.9912 I
0.6898 0.6719 0.4912 I
0.7566 0.1425 0.3654 I
0.7566 0.8575 0.8654 I
0.8769 0.1420 0.6045 I
0.8769 0.8580 0.1045 I
```

=====

Copy entry 3 word for word.
Starting from a crystal structure in OQMD, relaxed with GGA-PBE, the powder X-ray diffraction pattern of HfAlI7 was simulated for CuKα.
Lines closer than 0.1° are merged.

Principal peaks in the range 5° ≤ 2θ ≤ 70°, low angle first:
- 2θ 10.2, intensity 98
- 2θ 10.9, intensity 72
- 2θ 13.8, intensity 86
- 2θ 16.4, intensity 45
- 2θ 24.1, intensity 67
- 2θ 25.3, intensity 100
- 2θ 26.3, intensity 44
- 2θ 28.1, intensity 50
- 2θ 29.4, intensity 60
- 2θ 34.0, intensity 45

Structure:
```
HfAlI7
1.0
8.2058 0.0000 0.0000
0.0000 6.9078 0.0000
-2.7831 0.0000 17.2683
Hf Al I
2 2 14
direct
0.0000 0.0795 0.0000 Hf
0.0000 0.9205 0.5000 Hf
0.7463 0.4838 0.8622 Al
0.7463 0.5162 0.3622 Al
0.0358 0.3299 0.8599 I
0.0358 0.6701 0.3599 I
0.1752 0.3303 0.0992 I
0.1752 0.6697 0.5992 I
0.2526 0.1363 0.4646 I
0.2526 0.8637 0.9646 I
0.5374 0.3795 0.7498 I
0.5374 0.6205 0.2498 I
0.6898 0.3281 0.9912 I
0.6898 0.6719 0.4912 I
0.7566 0.1425 0.3654 I
0.7566 0.8575 0.8654 I
0.8769 0.1420 0.6045 I
0.8769 0.8580 0.1045 I
```